Record 1
Cs12Rb2Na7: computed powder XRD pattern (Cu Kα), based on a structure optimized by DFT (PBE).

Structure:
a = 19.8850 Å, b = 19.8850 Å, c = 5.1005 Å
α = 90.00°, β = 90.00°, γ = 120.00°
Space group P-3 (No. 147)
Asymmetric unit:
Cs  0.0748  0.4438  0.2575 [6 per cell]
Cs  0.1086  0.8523  0.7286 [6 per cell]
Rb  0.3333  0.6667  0.7392 [2 per cell]
Na  0.0000  0.0000  0.0000 [1 per cell]
Na  0.1537  0.6906  0.2306 [6 per cell]

Main lines, in order of rising 2θ (10° ≤ 2θ ≤ 90°):
hkl, 2θ/deg, I (rel.)
2 1 0, 13.6, 247
2 -1 1, 19.6, 244
2 1 1, 22.1, 1000
3 2 0, 22.5, 676
1 4 0, 23.7, 193
1 7 0, 39.5, 148
3 2 2, 42.2, 225
1 7 2, 53.9, 187

---

Record 2
Cs7Rb6Na: computed powder XRD pattern (Cu Kα), based on a structure optimized by DFT (PBE).

Structure:
a = 13.6972 Å, b = 13.6972 Å, c = 25.3288 Å
α = 90.00°, β = 90.00°, γ = 120.00°
Space group R3 (No. 146, hexagonal axes)
Asymmetric unit:
Cs  0.0000  0.0000  0.0000 [3 per cell]
Cs  0.0517  0.2555  0.1731 [9 per cell]
Cs  0.1453  0.7104  0.0124 [9 per cell]
Rb  0.0558  0.2269  0.6657 [9 per cell]
Rb  0.1444  0.7192  0.5027 [9 per cell]
Na  0.0000  0.0000  0.5105 [3 per cell]

Main lines, in order of rising 2θ (10° ≤ 2θ ≤ 90°):
hkl, 2θ/deg, I (rel.)
3 -2 2, 21.0, 1000
2 1 4, 24.3, 521
1 4 0, 34.7, 397
4 2 2, 40.9, 489
6 -4 4, 42.8, 139
0 7 2, 54.7, 189
7 0 4, 56.2, 171
6 3 6, 66.4, 130

---

Record 3
Cs10RbNa3: computed powder XRD pattern (Cu Kα), based on a structure optimized by DFT (PBE).

Structure:
a = 22.385 Å, b = 22.385 Å, c = 22.385 Å
α = 90.00°, β = 90.00°, γ = 90.00°
Space group Fm-3m (No. 225)
Asymmetric unit:
Cs  0.000  0.169  0.169 [48 per cell]
Cs  0.119  0.119  0.381 [32 per cell]
Rb  0.250  0.250  0.250 [8 per cell]
Na  0.000  0.000  0.274 [24 per cell]

Main lines, in order of rising 2θ (10° ≤ 2θ ≤ 90°):
hkl, 2θ/deg, I (rel.)
4 2 0, 17.7, 274
3 3 3, 20.6, 1000
4 4 0, 22.5, 201
5 3 1, 23.5, 523
6 6 0, 34.0, 286
9 1 1, 36.6, 206
8 4 4, 39.4, 263
9 9 3, 53.5, 242

---

- Number 3 is which compound?
  Cs10RbNa3